Structure and simulated XRD peak list of AcSm4Dy6 (a PBE-relaxed structure; λ = 1.5418 Å (Cu Kα)).
Peak positions follow from Bragg's law for the DFT cell and can differ from measured ones.

Peak list (12 most intense, 2θ = 5–70°, by angle)
- 2θ 27.61, d = 3.231 Å, I = 109
- 2θ 29.97, d = 2.981 Å, I = 555
- 2θ 30.36, d = 2.944 Å, I = 1000
- 2θ 31.53, d = 2.838 Å, I = 723
- 2θ 31.72, d = 2.821 Å, I = 296
- 2θ 32.90, d = 2.723 Å, I = 377
- 2θ 43.47, d = 2.082 Å, I = 324
- 2θ 53.69, d = 1.707 Å, I = 110
- 2θ 54.67, d = 1.679 Å, I = 154
- 2θ 55.67, d = 1.651 Å, I = 121
- 2θ 56.79, d = 1.621 Å, I = 121
- 2θ 63.10, d = 1.473 Å, I = 110

Crystal structure
a = 5.681 Å, b = 5.681 Å, c = 25.889 Å
α = 90.00°, β = 90.00°, γ = 117.54°
Atoms (fractional coordinates):
Ac  0.201  0.799  0.750
Ac  0.799  0.201  0.250
Sm  0.154  0.846  0.043
Sm  0.154  0.846  0.457
Sm  0.460  0.540  0.123
Sm  0.460  0.540  0.377
Sm  0.540  0.460  0.623
Sm  0.540  0.460  0.877
Sm  0.846  0.154  0.543
Sm  0.846  0.154  0.957
Dy  0.131  0.869  0.180
Dy  0.131  0.869  0.320
Dy  0.195  0.805  0.599
Dy  0.195  0.805  0.901
Dy  0.460  0.540  0.250
Dy  0.500  0.500  0.000
Dy  0.500  0.500  0.500
Dy  0.540  0.460  0.750
Dy  0.805  0.195  0.099
Dy  0.805  0.195  0.401
Dy  0.869  0.131  0.680
Dy  0.869  0.131  0.820